The following is a theoretical powder diffraction line list of Pm12SmHo5. It was derived from a GGA-PBE-relaxed structure, using CuKα.

Cell and atoms:
a b c (Å): 10.4665 10.4665 5.7971
angles (deg): 90.02 90.02 108.95
Sites, in units of the cell vectors:
Pm: 0.0297 0.6703 0.9959
Pm: 0.1705 0.5299 0.5039
Pm: 0.2022 0.2022 0.4628
Pm: 0.3019 0.3019 0.9637
Pm: 0.3297 0.9703 0.0041
Pm: 0.4701 0.8295 0.4961
Pm: 0.5299 0.1705 0.5039
Pm: 0.6703 0.0297 0.9959
Pm: 0.6981 0.6981 0.0363
Pm: 0.7978 0.7978 0.5372
Pm: 0.8295 0.4701 0.4961
Pm: 0.9703 0.3297 0.0041
Sm: 0.0000 0.0000 0.0000
Ho: 0.1364 0.8636 0.5000
Ho: 0.3639 0.6361 0.0000
Ho: 0.5000 0.5000 0.5000
Ho: 0.6361 0.3639 0.0000
Ho: 0.8636 0.1364 0.5000

Principal peaks in the range 10 to 90 degrees two-theta, sorted by position:
2θ (°)  d (Å)  I_rel
30.85  2.899  29.0
31.19  2.867  100.0
31.33  2.855  14.6
31.51  2.839  18.8
44.68  2.028  20.1
62.07  1.495  12.8

***

The following is a theoretical powder diffraction line list of PmSmHo. It was derived from a GGA-PBE-relaxed structure, using CuKα.

Cell and atoms:
a b c (Å): 6.2168 6.2168 7.1848
angles (deg): 106.42 106.42 48.53
Sites, in units of the cell vectors:
Pm: 0.1662 0.1662 0.3323
Pm: 0.8338 0.8338 0.6677
Sm: 0.5000 0.5000 0.0000
Sm: 0.5000 0.5000 0.5000
Ho: 0.1677 0.1677 0.8348
Ho: 0.8323 0.8323 0.1652

Principal peaks in the range 10 to 90 degrees two-theta, sorted by position:
2θ (°)  d (Å)  I_rel
30.42  2.939  100.0
35.16  2.552  34.0
35.47  2.531  16.6
50.81  1.797  24.0
60.12  1.539  14.5
60.23  1.537  14.4

***

The following is a theoretical powder diffraction line list of Pm6Sm3Ho2. It was derived from a GGA-PBE-relaxed structure, using CuKα.

Cell and atoms:
a b c (Å): 17.1799 17.1799 17.1799
angles (deg): 163.93 163.93 22.80
Sites, in units of the cell vectors:
Pm: 0.1198 0.6198 0.5000
Pm: 0.1993 0.1993 0.0000
Pm: 0.3802 0.8802 0.5000
Pm: 0.6198 0.1198 0.5000
Pm: 0.8007 0.8007 0.0000
Pm: 0.8802 0.3802 0.5000
Sm: 0.3013 0.3013 0.0000
Sm: 0.5000 0.5000 0.0000
Sm: 0.6987 0.6987 0.0000
Ho: 0.0454 0.0454 0.0000
Ho: 0.9546 0.9546 0.0000

Principal peaks in the range 10 to 90 degrees two-theta, sorted by position:
2θ (°)  d (Å)  I_rel
28.34  3.150  100.0
31.88  2.807  22.9
33.91  2.643  73.7
37.45  2.401  61.2
49.98  1.825  26.1
61.46  1.509  22.8

***

The following is a theoretical powder diffraction line list of Pm5Sm4Ho. It was derived from a GGA-PBE-relaxed structure, using CuKα.

Cell and atoms:
a b c (Å): 3.6016 9.4232 10.8559
angles (deg): 103.09 90.01 100.89
Sites, in units of the cell vectors:
Pm: 0.0000 0.0000 0.0000
Pm: 0.3318 0.6613 0.9720
Pm: 0.3434 0.6834 0.5961
Pm: 0.6566 0.3166 0.4039
Pm: 0.6682 0.3387 0.0280
Sm: 0.1745 0.3545 0.7173
Sm: 0.4720 0.9436 0.2399
Sm: 0.5280 0.0564 0.7601
Sm: 0.8255 0.6455 0.2827
Ho: 0.0000 0.0000 0.5000

Principal peaks in the range 10 to 90 degrees two-theta, sorted by position:
2θ (°)  d (Å)  I_rel
29.29  3.049  40.7
29.77  3.001  86.1
31.78  2.816  100.0
35.34  2.540  32.7
35.39  2.536  32.6
37.65  2.389  32.9

***

The following is a theoretical powder diffraction line list of Pm4Sm3Ho8. It was derived from a GGA-PBE-relaxed structure, using CuKα.

Cell and atoms:
a b c (Å): 12.4913 12.4913 12.4913
angles (deg): 32.42 32.42 32.42
Sites, in units of the cell vectors:
Pm: 0.0000 0.0000 0.0000
Pm: 0.1637 0.1637 0.1637
Pm: 0.5000 0.5000 0.5000
Pm: 0.8363 0.8363 0.8363
Sm: 0.0000 0.5000 0.5000
Sm: 0.5000 0.0000 0.5000
Sm: 0.5000 0.5000 0.0000
Ho: 0.2503 0.2503 0.7486
Ho: 0.2503 0.7486 0.2503
Ho: 0.2514 0.7497 0.7497
Ho: 0.2545 0.2545 0.2545
Ho: 0.7455 0.7455 0.7455
Ho: 0.7486 0.2503 0.2503
Ho: 0.7497 0.2514 0.7497
Ho: 0.7497 0.7497 0.2514

Principal peaks in the range 10 to 90 degrees two-theta, sorted by position:
2θ (°)  d (Å)  I_rel
29.72  3.006  24.0
30.23  2.956  55.4
31.29  2.859  100.0
35.98  2.496  72.8
52.48  1.744  36.5
61.77  1.502  43.7

***

The following is a theoretical powder diffraction line list of Pm8SmHo4. It was derived from a GGA-PBE-relaxed structure, using CuKα.

Cell and atoms:
a b c (Å): 6.5228 7.4419 10.1601
angles (deg): 91.50 95.54 115.37
Sites, in units of the cell vectors:
Pm: 0.1242 0.1725 0.1726
Pm: 0.2463 0.7763 0.2906
Pm: 0.3399 0.3380 0.8297
Pm: 0.3396 0.7833 0.7114
Pm: 0.6604 0.2167 0.2886
Pm: 0.6601 0.6620 0.1703
Pm: 0.7537 0.2237 0.7094
Pm: 0.8758 0.8275 0.8274
Sm: 0.0000 0.5000 0.5000
Ho: 0.0000 0.0000 0.5000
Ho: 0.0000 0.5000 0.0000
Ho: 0.5000 0.0000 0.0000
Ho: 0.5000 0.5000 0.5000

Principal peaks in the range 10 to 90 degrees two-theta, sorted by position:
2θ (°)  d (Å)  I_rel
26.69  3.340  44.8
29.96  2.983  76.5
30.64  2.918  100.0
30.90  2.894  96.7
31.42  2.847  54.7
33.53  2.673  55.7

***

The following is a theoretical powder diffraction line list of Pm5Sm4Ho. It was derived from a GGA-PBE-relaxed structure, using CuKα.

Cell and atoms:
a b c (Å): 8.0947 8.0947 8.0947
angles (deg): 98.34 98.34 135.22
Sites, in units of the cell vectors:
Pm: 0.0000 0.0000 0.0000
Pm: 0.5383 0.5383 0.6223
Pm: 0.5383 0.9160 0.0000
Pm: 0.9160 0.5383 0.0000
Pm: 0.9160 0.9160 0.3777
Sm: 0.2504 0.5745 0.3241
Sm: 0.2504 0.9263 0.6759
Sm: 0.5745 0.2504 0.3241
Sm: 0.9263 0.2504 0.6759
Ho: 0.4664 0.4664 0.0000

Principal peaks in the range 10 to 90 degrees two-theta, sorted by position:
2θ (°)  d (Å)  I_rel
29.16  3.062  100.0
31.38  2.851  14.5
33.64  2.664  18.9
36.00  2.495  41.0
51.45  1.776  15.5
60.57  1.529  17.5

***

The following is a theoretical powder diffraction line list of Pm3Sm4Ho5. It was derived from a GGA-PBE-relaxed structure, using CuKα.

Cell and atoms:
a b c (Å): 6.2162 7.1784 8.7884
angles (deg): 90.05 90.09 90.13
Sites, in units of the cell vectors:
Pm: 0.0000 0.0000 0.0000
Pm: 0.1677 0.7508 0.6676
Pm: 0.8323 0.2492 0.3324
Sm: 0.1681 0.2499 0.6676
Sm: 0.3321 0.5001 0.3311
Sm: 0.6679 0.4999 0.6689
Sm: 0.8319 0.7501 0.3324
Ho: 0.0000 0.5000 0.0000
Ho: 0.3344 0.9998 0.3312
Ho: 0.4997 0.2494 0.9999
Ho: 0.5003 0.7506 0.0001
Ho: 0.6656 0.0002 0.6688

Principal peaks in the range 10 to 90 degrees two-theta, sorted by position:
2θ (°)  d (Å)  I_rel
30.51  2.930  100.0
35.37  2.538  50.7
50.87  1.795  24.1
50.94  1.793  12.0
60.47  1.531  28.7
60.57  1.529  14.3

***

The following is a theoretical powder diffraction line list of Pm6Sm2Ho3. It was derived from a GGA-PBE-relaxed structure, using CuKα.

Cell and atoms:
a b c (Å): 3.6127 6.2499 16.9399
angles (deg): 90.11 90.01 106.73
Sites, in units of the cell vectors:
Pm: 0.0446 0.0904 0.1821
Pm: 0.1365 0.2716 0.5452
Pm: 0.2270 0.4527 0.9091
Pm: 0.7730 0.5473 0.0909
Pm: 0.8635 0.7284 0.4548
Pm: 0.9554 0.9096 0.8179
Sm: 0.3165 0.6340 0.2737
Sm: 0.6835 0.3660 0.7263
Ho: 0.4096 0.8190 0.6359
Ho: 0.5000 0.0000 0.0000
Ho: 0.5904 0.1810 0.3641

Principal peaks in the range 10 to 90 degrees two-theta, sorted by position:
2θ (°)  d (Å)  I_rel
30.31  2.949  100.0
35.14  2.554  50.7
50.54  1.806  30.2
60.07  1.540  32.4
60.15  1.538  10.7
63.03  1.475  9.3

***

The following is a theoretical powder diffraction line list of Pm3Sm4Ho. It was derived from a GGA-PBE-relaxed structure, using CuKα.

Cell and atoms:
a b c (Å): 11.6634 7.3474 6.3524
angles (deg): 90.00 90.00 90.00
Sites, in units of the cell vectors:
Pm: 0.0000 0.1257 0.0000
Pm: 0.2499 0.1243 0.3324
Pm: 0.2501 0.8757 0.8324
Pm: 0.5000 0.8743 0.5000
Pm: 0.7501 0.1243 0.3324
Pm: 0.7499 0.8757 0.8324
Sm: 0.0000 0.3749 0.5012
Sm: 0.0000 0.6250 0.9986
Sm: 0.2480 0.6255 0.3329
Sm: 0.2520 0.3745 0.8329
Sm: 0.5000 0.3750 0.4986
Sm: 0.5000 0.6251 0.0012
Sm: 0.7480 0.3745 0.8329
Sm: 0.7520 0.6255 0.3329
Ho: 0.0000 0.8751 0.4992
Ho: 0.5000 0.1249 0.9992

Principal peaks in the range 10 to 90 degrees two-theta, sorted by position:
2θ (°)  d (Å)  I_rel
28.07  3.179  23.6
30.66  2.916  25.0
32.07  2.791  100.0
49.67  1.835  19.6
55.40  1.658  21.2
59.51  1.553  22.8

***

The following is a theoretical powder diffraction line list of Pm5Sm5Ho. It was derived from a GGA-PBE-relaxed structure, using CuKα.

Cell and atoms:
a b c (Å): 6.9829 6.9864 8.7717
angles (deg): 75.08 75.29 69.79
Sites, in units of the cell vectors:
Pm: 0.0000 0.0000 0.0000
Pm: 0.1459 0.6466 0.3620
Pm: 0.3539 0.2700 0.7335
Pm: 0.6461 0.7300 0.2665
Pm: 0.8541 0.3534 0.6380
Sm: 0.2230 0.1487 0.2710
Sm: 0.3203 0.8140 0.6360
Sm: 0.5000 0.5000 0.0000
Sm: 0.6797 0.1860 0.3640
Sm: 0.7770 0.8513 0.7290
Ho: 0.0000 0.5000 0.0000

Principal peaks in the range 10 to 90 degrees two-theta, sorted by position:
2θ (°)  d (Å)  I_rel
30.82  2.901  19.4
31.24  2.864  75.2
31.57  2.834  92.4
31.83  2.812  100.0
32.22  2.778  28.9
56.12  1.639  33.1

***

The following is a theoretical powder diffraction line list of Pm4Sm2Ho. It was derived from a GGA-PBE-relaxed structure, using CuKα.

Cell and atoms:
a b c (Å): 6.3151 6.3151 15.6066
angles (deg): 90.00 90.00 129.50
Sites, in units of the cell vectors:
Pm: 0.1004 0.8996 0.8063
Pm: 0.2053 0.7947 0.5702
Pm: 0.2947 0.7053 0.0702
Pm: 0.3996 0.6004 0.3063
Pm: 0.6004 0.3996 0.6937
Pm: 0.7053 0.2947 0.9298
Pm: 0.7947 0.2053 0.4298
Pm: 0.8996 0.1004 0.1937
Sm: 0.1062 0.8938 0.3437
Sm: 0.3938 0.6062 0.8437
Sm: 0.6062 0.3938 0.1563
Sm: 0.8938 0.1062 0.6563
Ho: 0.0000 0.0000 0.0000
Ho: 0.5000 0.5000 0.5000

Principal peaks in the range 10 to 90 degrees two-theta, sorted by position:
2θ (°)  d (Å)  I_rel
29.31  3.047  100.0
30.96  2.889  59.7
33.26  2.694  40.0
33.41  2.682  20.0
34.11  2.628  21.5
60.50  1.530  27.9